The following is a calculated powder diffraction line list of Al8Ni. It was derived from a GGA-PBE-relaxed structure, using a wavelength of 1.5418 Å.
Lines closer than 0.1° are merged.

Structural model:
a b c (Å): 6.2430 6.2430 6.2430
angles (deg): 95.80 95.80 142.94
Fractional coordinates of all 9 atoms:
Al  0.0000  0.3247  0.3247
Al  0.0000  0.6753  0.6753
Al  0.3247  0.0000  0.3247
Al  0.3403  0.3403  0.6806
Al  0.3403  0.6597  0.0000
Al  0.6597  0.3403  0.0000
Al  0.6597  0.6597  0.3194
Al  0.6753  0.0000  0.6753
Ni  0.0000  0.0000  0.0000

Top 10 peaks for 2θ from 15° to 90°, low angle first:
2θ = 21.23°, I = 5.5; 2θ = 24.83°, I = 5.9; 2θ = 39.48°, I = 100.0; 2θ = 45.73°, I = 16.4; 2θ = 46.00°, I = 31.4; 2θ = 66.87°, I = 19.9; 2θ = 67.09°, I = 9.6; 2θ = 80.33°, I = 11.8; 2θ = 80.72°, I = 22.2; 2θ = 84.98°, I = 9.9